Entry 1:
Structure and calculated powder diffractogram of CrNi14Ge (a GGA-PBE-relaxed structure; Cu Ka).
Kinematic intensities with the Lorentz-polarization factor, no thermal factor.

Cell and atoms:
abc: 5.0177 5.0177 7.0261
angles: 90.00 90.00 90.00
Space group P4/mmm (No. 123)
Asymmetric unit:
Cr 0.0000 0.0000 0.0000 [1 per cell]
Ni 0.0000 0.0000 0.5000 [1 per cell]
Ni 0.0000 0.5000 0.0000 [2 per cell]
Ni 0.0000 0.5000 0.5000 [2 per cell]
Ni 0.2484 0.2484 0.2512 [8 per cell]
Ni 0.5000 0.5000 0.5000 [1 per cell]
Ge 0.5000 0.5000 0.0000 [1 per cell]

Most intense lines, 2θ from 10° to 80°, low angle first:
h k l, 2θ (°), Rel. int.
2 0 2, 44.37, 100
2 2 0, 51.52, 31
0 0 4, 52.07, 15
4 0 0, 75.84, 9
2 2 4, 76.29, 18



Entry 2:
Structure and calculated powder diffractogram of La2TbDy5Sc (a GGA-PBE-relaxed structure; Cu Ka).
Kinematic intensities with the Lorentz-polarization factor, no thermal factor.

Cell and atoms:
abc: 5.5921 19.9609 10.4682
angles: 90.00 90.00 90.00
Space group Cmc2_1 (No. 36)
Asymmetric unit:
La 0.0000 0.1142 0.0000 [4 per cell]
La 0.0000 0.1156 0.4211 [4 per cell]
Tb 0.0000 0.4086 0.1488 [4 per cell]
Dy 0.0000 0.0153 0.7037 [4 per cell]
Dy 0.0000 0.2757 0.0063 [4 per cell]
Dy 0.0000 0.2964 0.3879 [4 per cell]
Dy 0.0000 0.3744 0.7050 [4 per cell]
Dy 0.0000 0.4839 0.4276 [4 per cell]
Sc 0.0000 0.1972 0.6999 [4 per cell]

Most intense lines, 2θ from 10° to 80°, low angle first:
h k l, 2θ (°), Rel. int.
1 3 2, 26.91, 25
0 6 1, 28.15, 15
1 1 3, 30.53, 36
2 0 0, 32.01, 44
1 5 2, 32.43, 100
3 5 2, 57.32, 20



Entry 3:
Structure and calculated powder diffractogram of Ni3Os (a GGA-PBE-relaxed structure; Cu Ka).
Kinematic intensities with the Lorentz-polarization factor, no thermal factor.

Cell and atoms:
abc: 2.5730 3.6301 5.0485
angles: 90.00 90.00 90.00
Space group Pmmm (No. 47)
Asymmetric unit:
Ni 0.0000 0.0000 0.0000 [1 per cell]
Ni 0.5000 0.5000 0.2496 [2 per cell]
Os 0.0000 0.0000 0.5000 [1 per cell]

Most intense lines, 2θ from 10° to 80°, low angle first:
h k l, 2θ (°), Rel. int.
0 0 1, 17.57, 47
1 1 0, 43.09, 100
0 1 2, 43.68, 96
0 2 0, 50.27, 32
1 0 2, 50.66, 62
1 2 2, 74.15, 38



Entry 4:
Structure and calculated powder diffractogram of KTl5 (a GGA-PBE-relaxed structure; Cu Ka).
Kinematic intensities with the Lorentz-polarization factor, no thermal factor.

Cell and atoms:
abc: 9.3168 9.3168 9.3168
angles: 90.00 90.00 90.00
Space group F-43m (No. 216)
Asymmetric unit:
K 0.0000 0.0000 0.0000 [4 per cell]
Tl 0.1245 0.1245 0.3755 [16 per cell]
Tl 0.2500 0.2500 0.7500 [4 per cell]

Most intense lines, 2θ from 10° to 80°, low angle first:
h k l, 2θ (°), Rel. int.
1 1 1, 16.48, 31
3 1 1, 31.86, 100
2 2 2, 33.31, 58
3 3 3, 50.93, 36
4 4 0, 55.82, 33
6 2 2, 66.58, 24



Entry 5:
Structure and calculated powder diffractogram of CoNi6Rh (a GGA-PBE-relaxed structure; Cu Ka).
Kinematic intensities with the Lorentz-polarization factor, no thermal factor.

Cell and atoms:
abc: 7.1329 10.1209 10.1312
angles: 90.00 90.00 90.00
Space group Cmmm (No. 65)
Asymmetric unit:
Co 0.0000 0.0000 0.2479 [4 per cell]
Co 0.0000 0.2514 0.0000 [4 per cell]
Ni 0.0000 0.0000 0.0000 [2 per cell]
Ni 0.0000 0.0000 0.5000 [2 per cell]
Ni 0.0000 0.2474 0.2449 [8 per cell]
Ni 0.0000 0.5000 0.0000 [2 per cell]
Ni 0.0000 0.5000 0.5000 [2 per cell]
Ni 0.2449 0.1235 0.3712 [16 per cell]
Ni 0.2456 0.1265 0.1217 [16 per cell]
Rh 0.0000 0.2516 0.5000 [4 per cell]
Rh 0.0000 0.5000 0.2482 [4 per cell]

Most intense lines, 2θ from 10° to 80°, low angle first:
h k l, 2θ (°), Rel. int.
2 0 0, 24.90, 2
2 4 0, 43.86, 100
0 4 4, 51.02, 31
4 0 0, 51.23, 15
0 8 0, 75.04, 9
4 4 4, 75.21, 18



Entry 6:
Structure and calculated powder diffractogram of Pm3Cu2Pd5 (a GGA-PBE-relaxed structure; Cu Ka).
Kinematic intensities with the Lorentz-polarization factor, no thermal factor.

Cell and atoms:
abc: 9.8432 9.8432 3.9892
angles: 90.00 90.00 90.00
Space group P4/mbm (No. 127)
Asymmetric unit:
Pm 0.0000 0.0000 0.0000 [2 per cell]
Pm 0.1746 0.3254 0.0000 [4 per cell]
Cu 0.1178 0.6178 0.0000 [4 per cell]
Pd 0.0000 0.5000 0.5000 [2 per cell]
Pd 0.0711 0.7837 0.5000 [8 per cell]

Most intense lines, 2θ from 10° to 80°, low angle first:
h k l, 2θ (°), Rel. int.
2 1 1, 30.24, 33
2 2 1, 34.19, 29
3 1 1, 36.62, 100
4 1 0, 37.68, 44
3 2 1, 40.02, 34
0 0 2, 45.47, 27



Entry 7:
Structure and calculated powder diffractogram of Tb2Sc3Se6 (a GGA-PBE-relaxed structure; Cu Ka).
Kinematic intensities with the Lorentz-polarization factor, no thermal factor.

Cell and atoms:
abc: 6.8255 11.7691 6.8962
angles: 90.00 109.25 90.00
Space group C2/m (No. 12)
Asymmetric unit:
Tb 0.0000 0.1654 0.0000 [4 per cell]
Sc 0.0000 0.0000 0.5000 [2 per cell]
Sc 0.0000 0.3334 0.5000 [4 per cell]
Se 0.2382 0.5000 0.7403 [4 per cell]
Se 0.2495 0.1633 0.7379 [8 per cell]

Most intense lines, 2θ from 10° to 80°, low angle first:
h k l, 2θ (°), Rel. int.
1 3 1, 32.05, 100
2 0 2, 45.73, 36
3 3 -1, 46.12, 24
0 6 0, 46.29, 12
2 6 -2, 57.38, 12
3 3 3, 75.85, 10



Entry 8:
Structure and calculated powder diffractogram of W2Se3 (a GGA-PBE-relaxed structure; Cu Ka).
Kinematic intensities with the Lorentz-polarization factor, no thermal factor.

Cell and atoms:
abc: 3.0790 10.8895 6.6363
angles: 90.00 90.00 90.00
Space group Imm2 (No. 44)
Asymmetric unit:
W 0.0000 0.1183 0.0000 [4 per cell]
Se 0.0000 0.0000 0.6751 [2 per cell]
Se 0.0000 0.3184 0.7753 [4 per cell]

Most intense lines, 2θ from 10° to 80°, low angle first:
h k l, 2θ (°), Rel. int.
0 1 1, 15.64, 100
0 3 1, 28.02, 55
1 1 0, 30.16, 34
1 0 1, 32.05, 66
1 4 1, 46.59, 43
1 3 2, 47.43, 43



Entry 9:
Structure and calculated powder diffractogram of CePr14Sm (a GGA-PBE-relaxed structure; Cu Ka).
Kinematic intensities with the Lorentz-polarization factor, no thermal factor.

Cell and atoms:
abc: 10.4913 10.4498 10.4515
angles: 90.00 90.00 90.00
Space group Amm2 (No. 38)
Asymmetric unit:
Ce 0.0000 0.0000 0.0000 [2 per cell]
Pr 0.0000 0.2495 0.7500 [4 per cell]
Pr 0.2467 0.0000 0.2480 [4 per cell]
Pr 0.2471 0.2484 0.9997 [8 per cell]
Pr 0.2476 0.0000 0.7513 [4 per cell]
Pr 0.5000 0.0000 0.4998 [2 per cell]
Pr 0.5000 0.0000 0.9995 [2 per cell]
Pr 0.5000 0.2495 0.2497 [4 per cell]
Sm 0.0000 0.0000 0.4998 [2 per cell]

Most intense lines, 2θ from 10° to 80°, low angle first:
h k l, 2θ (°), Rel. int.
2 2 2, 29.57, 100
4 0 0, 34.19, 17
0 4 0, 34.32, 34
4 4 0, 49.23, 24
6 2 2, 58.39, 15
2 6 2, 58.57, 29



Entry 10:
Structure and calculated powder diffractogram of Y3CoPb (a GGA-PBE-relaxed structure; Cu Ka).
Kinematic intensities with the Lorentz-polarization factor, no thermal factor.

Cell and atoms:
abc: 5.6799 6.8194 7.0527
angles: 90.00 104.33 90.00
Space group P2_1/m (No. 11)
Asymmetric unit:
Y 0.1337 0.2500 0.1195 [2 per cell]
Y 0.3287 0.0095 0.7143 [4 per cell]
Co 0.3914 0.7500 0.9947 [2 per cell]
Pb 0.1831 0.7500 0.3184 [2 per cell]

Most intense lines, 2θ from 10° to 80°, low angle first:
h k l, 2θ (°), Rel. int.
0 1 1, 18.38, 33
0 0 2, 26.10, 36
0 1 2, 29.24, 47
2 0 -1, 31.92, 100
1 2 1, 35.17, 74
1 2 -2, 38.00, 34



Entry 11:
Structure and calculated powder diffractogram of Pm2PrHg5 (a GGA-PBE-relaxed structure; Cu Ka).
Kinematic intensities with the Lorentz-polarization factor, no thermal factor.

Cell and atoms:
abc: 5.3221 5.3221 15.0455
angles: 90.00 90.00 90.00
Space group I4/mmm (No. 139)
Asymmetric unit:
Pm 0.0000 0.0000 0.2314 [4 per cell]
Pr 0.0000 0.0000 0.5000 [2 per cell]
Hg 0.0000 0.0000 0.0000 [2 per cell]
Hg 0.0000 0.5000 0.1240 [8 per cell]

Most intense lines, 2θ from 10° to 80°, low angle first:
h k l, 2θ (°), Rel. int.
0 0 4, 23.65, 2
2 0 0, 33.69, 100
1 0 5, 34.23, 2
2 2 0, 48.38, 18
3 1 4, 60.25, 36
4 0 0, 70.83, 11